Diffraction record for Ce4SmO9. The PXRD pattern is simulated, not measured: it uses DFT lattice parameters and positions (PBE) and copper Kα.
Peak positions follow from Bragg's law for the DFT cell and can differ from measured ones.

Structure:
```
Ce4SmO9
1.0
-1.9076 9.8769 2.7722
1.9076 -9.8769 2.7722
1.9076 9.8769 -2.7722
Ce Sm O
4 1 9
Direct
0.1072 0.0000 0.1072
0.3087 0.0082 0.3005
0.7078 0.0082 0.6995
0.8928 0.0000 0.8928
0.5598 0.0598 0.5000
0.0586 0.2555 0.8031
0.1680 0.7525 0.4156
0.3369 0.7525 0.5844
0.4524 0.2555 0.1969
0.5541 0.7570 0.7971
0.6542 0.2602 0.3940
0.7836 0.7836 0.0000
0.8662 0.2602 0.6060
0.9600 0.7570 0.2029
```

Largest 10 diffraction maxima, in order of falling intensity, 5 to 70 degrees two-theta:
two_theta, I_rel
27.73, 100
28.40, 96
46.57, 65
32.63, 41
54.88, 41
56.05, 29
32.29, 19
45.94, 17
47.67, 17
55.23, 13